# Zr3Sb2Pt2
Computed powder diffraction line list, Cu Kα, 1.54184 Å. Input: a DFT-relaxed cell (GGA-PBE, OQMD).

Top 6 peaks for 2θ = 10–80°, low angle first:
2θ 26.46, I 31; 2θ 37.64, I 100; 2θ 37.89, I 77; 2θ 54.48, I 27; 2θ 67.94, I 17; 2θ 68.11, I 27

Atomic structure:
Cell: 8.208 8.208 8.208 Å, 33.85 33.85 33.85°
Positions (direct):
Zr1 0.000 0.000 0.000
Zr2 0.249 0.249 0.249
Zr3 0.501 0.501 0.501
Sb1 0.121 0.121 0.121
Sb2 0.629 0.629 0.629
Pt1 0.381 0.381 0.381
Pt2 0.854 0.854 0.854